Starting from a DFT-relaxed cell (GGA+U, Alexandria), the X-ray diffraction stick pattern of NbV2O8 was simulated for copper Kα.
Peak positions follow from Bragg's law for the DFT cell and can differ from measured ones.

Cell: 5.9989 9.0073 3.6087 Å, 90.00 100.42 90.00°
Space group C2/m (No. 12)
Symmetry-distinct sites (fractional):
Nb: 0.0000 0.0000 0.0000 (multiplicity 2)
V: 0.0000 0.3187 0.5000 (multiplicity 4)
O: 0.0000 0.2425 0.0000 (multiplicity 4)
O: 0.1082 0.5000 0.8181 (multiplicity 4)
O: 0.1847 0.1272 0.5472 (multiplicity 8)

Most intense lines, 2θ from 10° to 80°, in order of falling intensity:
2θ = 30.3°, intensity 100; 2θ = 32.1°, intensity 96; 2θ = 28.7°, intensity 86; 2θ = 33.5°, intensity 83; 2θ = 47.8°, intensity 66; 2θ = 49.8°, intensity 57; 2θ = 55.9°, intensity 51; 2θ = 33.2°, intensity 46; 2θ = 18.0°, intensity 43; 2θ = 51.5°, intensity 37